Computed X-ray diffraction stick pattern of Sm2Co7 for Cu Ka, from a crystal structure in OQMD, relaxed with GGA-PBE.
Peak positions follow from Bragg's law for the DFT cell and can differ from measured ones.

Atomic structure:
```
data_Sm2Co7
_symmetry_space_group_name_H-M 'R -3 m'
_symmetry_Int_Tables_number 166
_symmetry_space_group_name_Hall '-R 3 2"'
_cell_length_a 5.0170
_cell_length_b 5.0170
_cell_length_c 35.9645
_cell_angle_alpha 90.00
_cell_angle_beta 90.00
_cell_angle_gamma 120.00
loop_
_atom_site_label
_atom_site_type_symbol
_atom_site_fract_x
_atom_site_fract_y
_atom_site_fract_z
_atom_site_occupancy
Sm1 Sm 0.0000 0.0000 0.0516 1
Sm2 Sm 0.0000 0.0000 0.1481 1
Co1 Co 0.0000 0.0000 0.2776 1
Co2 Co 0.0000 0.0000 0.3891 1
Co3 Co 0.0000 0.0000 0.5000 1
Co4 Co 0.0000 0.5000 0.0000 1
Co5 Co 0.0005 0.5003 0.8908 1
```

Top 12 peaks for 2θ = 10–90°, by intensity:
- (1 1 9), 42.55 deg, d = 2.125 Å, intensity 100
- (1 1 0), 35.80 deg, d = 2.508 Å, intensity 49
- (1 0 10), 32.31 deg, d = 2.770 Å, intensity 41
- (0 2 1), 41.65 deg, d = 2.168 Å, intensity 35
- (0 1 11), 34.33 deg, d = 2.612 Å, intensity 31
- (3 0 9), 68.97 deg, d = 1.362 Å, intensity 22
- (0 0 18), 45.37 deg, d = 1.999 Å, intensity 21
- (2 2 0), 75.85 deg, d = 1.254 Å, intensity 20
- (2 0 20), 67.65 deg, d = 1.385 Å, intensity 14
- (2 1 10), 62.14 deg, d = 1.494 Å, intensity 13
- (1 2 11), 63.38 deg, d = 1.467 Å, intensity 10
- (2 0 8), 46.42 deg, d = 1.956 Å, intensity 10